Record 1
The following is a theoretical PXRD pattern of BaYTi4O7. It was derived from a structure optimized by DFT (PBE), using Cu Kα X-rays.
Intensities are scaled so that the largest is 100.

Largest 10 diffraction maxima, low angle first, 2θ = 10–90°:
- 2θ 18.07, rel. 19.8
- 2θ 28.00, rel. 59.3
- 2θ 29.74, rel. 100.0
- 2θ 32.68, rel. 79.2
- 2θ 33.53, rel. 94.1
- 2θ 50.65, rel. 57.3
- 2θ 52.59, rel. 20.7
- 2θ 54.10, rel. 30.8
- 2θ 57.88, rel. 39.1
- 2θ 66.43, rel. 17.7

Cell and atoms:
```
BaYTi4O7
1.0
6.3724 0.0000 0.0000
-3.1862 5.5186 0.0000
0.0000 0.0000 10.7430
Ba Y Ti O
2 2 8 14
direct
0.3333 0.6667 0.0000
0.6667 0.3333 0.5000
0.3333 0.6667 0.3465
0.6667 0.3333 0.8465
0.0000 0.0000 0.4689
0.0000 0.0000 0.9689
0.1509 0.3018 0.6638
0.1509 0.8491 0.6638
0.3018 0.1509 0.1638
0.6982 0.8491 0.6638
0.8491 0.1509 0.1638
0.8491 0.6982 0.1638
0.0000 0.0000 0.2720
0.0000 0.0000 0.7720
0.0019 0.5010 0.7150
0.1765 0.3530 0.4809
0.1765 0.8235 0.4809
0.3530 0.1765 0.9809
0.4990 0.5010 0.7150
0.4990 0.9981 0.7150
0.5010 0.0019 0.2150
0.5010 0.4990 0.2150
0.6470 0.8235 0.4809
0.8235 0.1765 0.9809
0.8235 0.6470 0.9809
0.9981 0.4990 0.2150
```


Record 2
The following is a theoretical PXRD pattern of Ba2YTi3O7. It was derived from a structure optimized by DFT (PBE), using Cu Kα X-rays.
Intensities are scaled so that the largest is 100.

Largest 10 diffraction maxima, low angle first, 2θ = 10–90°:
- 2θ 22.20, rel. 11.6
- 2θ 31.70, rel. 52.6
- 2θ 32.36, rel. 100.0
- 2θ 39.63, rel. 29.4
- 2θ 45.29, rel. 17.4
- 2θ 45.59, rel. 17.0
- 2θ 56.78, rel. 20.7
- 2θ 56.97, rel. 18.1
- 2θ 58.11, rel. 16.9
- 2θ 66.22, rel. 10.2

Cell and atoms:
```
Ba2YTi3O7
1.0
3.9798 0.0000 0.0000
0.0000 4.0042 0.0000
0.0000 0.0000 11.5180
Ba Y Ti O
2 1 3 7
direct
0.0000 0.0000 0.1751
0.0000 0.0000 0.8249
0.0000 0.0000 0.5000
0.5000 0.5000 0.0000
0.5000 0.5000 0.3617
0.5000 0.5000 0.6383
0.0000 0.5000 0.3693
0.0000 0.5000 0.6307
0.5000 0.0000 0.0000
0.5000 0.0000 0.3693
0.5000 0.0000 0.6307
0.5000 0.5000 0.1723
0.5000 0.5000 0.8277
```


Record 3
The following is a theoretical PXRD pattern of Ba4Tl2O. It was derived from a structure optimized by DFT (PBE), using Cu Kα X-rays.
Intensities are scaled so that the largest is 100.

Largest 10 diffraction maxima, low angle first, 2θ = 10–90°:
- 2θ 15.21, rel. 79.8
- 2θ 25.03, rel. 100.0
- 2θ 25.39, rel. 78.8
- 2θ 25.76, rel. 81.5
- 2θ 27.89, rel. 64.9
- 2θ 28.23, rel. 67.3
- 2θ 30.71, rel. 97.6
- 2θ 31.26, rel. 67.9
- 2θ 31.36, rel. 80.0
- 2θ 32.69, rel. 92.7

Cell and atoms:
```
Ba4Tl2O
1.0
8.6684 0.0000 0.0000
0.0000 7.7845 0.0000
-2.2987 0.0000 8.7804
Ba Tl O
8 4 2
direct
0.0889 0.2500 0.4293
0.2267 0.5027 0.9348
0.2267 0.9973 0.9348
0.4102 0.7500 0.6191
0.5898 0.2500 0.3809
0.7733 0.0027 0.0652
0.7733 0.4973 0.0652
0.9111 0.7500 0.5707
0.1309 0.7500 0.2537
0.4992 0.7500 0.2415
0.5008 0.2500 0.7585
0.8691 0.2500 0.7463
0.1833 0.7500 0.7484
0.8167 0.2500 0.2516
```


Record 4
The following is a theoretical PXRD pattern of Ba2Tl2O5. It was derived from a structure optimized by DFT (PBE), using Cu Kα X-rays.
Intensities are scaled so that the largest is 100.

Largest 10 diffraction maxima, low angle first, 2θ = 10–90°:
- 2θ 27.42, rel. 27.8
- 2θ 28.58, rel. 100.0
- 2θ 29.30, rel. 29.3
- 2θ 40.57, rel. 24.0
- 2θ 41.14, rel. 12.6
- 2θ 49.20, rel. 16.5
- 2θ 50.16, rel. 8.9
- 2θ 51.31, rel. 10.2
- 2θ 51.52, rel. 19.9
- 2θ 59.15, rel. 12.2

Cell and atoms:
```
Ba2Tl2O5
1.0
6.0953 0.0000 0.0000
0.0000 17.5516 0.0000
0.0000 0.0000 6.5053
Ba Tl O
8 8 20
direct
0.0077 0.1121 0.0263
0.0077 0.3879 0.0263
0.4923 0.6121 0.5263
0.4923 0.8879 0.5263
0.5077 0.1121 0.4737
0.5077 0.3879 0.4737
0.9923 0.6121 0.9737
0.9923 0.8879 0.9737
0.0000 0.0000 0.5000
0.0000 0.5000 0.5000
0.0276 0.2500 0.5604
0.4724 0.7500 0.0604
0.5000 0.0000 0.0000
0.5000 0.5000 0.0000
0.5276 0.2500 0.9396
0.9724 0.7500 0.4396
0.0321 0.6395 0.5678
0.0321 0.8605 0.5678
0.1047 0.7500 0.1180
0.2348 0.0069 0.7941
0.2348 0.4931 0.7941
0.2652 0.5069 0.2941
0.2652 0.9931 0.2941
0.3953 0.2500 0.6180
0.4679 0.1395 0.0678
0.4679 0.3605 0.0678
0.5321 0.6395 0.9322
0.5321 0.8605 0.9322
0.6047 0.7500 0.3820
0.7348 0.0069 0.7059
0.7348 0.4931 0.7059
0.7652 0.5069 0.2059
0.7652 0.9931 0.2059
0.8953 0.2500 0.8820
0.9679 0.1395 0.4322
0.9679 0.3605 0.4322
```


Record 5
The following is a theoretical PXRD pattern of Ba7Tl2O2. It was derived from a structure optimized by DFT (PBE), using Cu Kα X-rays.
Intensities are scaled so that the largest is 100.

Largest 10 diffraction maxima, low angle first, 2θ = 10–90°:
- 2θ 18.03, rel. 40.5
- 2θ 18.22, rel. 95.6
- 2θ 23.86, rel. 51.9
- 2θ 25.43, rel. 74.2
- 2θ 25.71, rel. 100.0
- 2θ 26.13, rel. 71.1
- 2θ 26.88, rel. 58.4
- 2θ 30.94, rel. 45.6
- 2θ 32.17, rel. 41.6
- 2θ 33.10, rel. 43.5

Cell and atoms:
```
Ba7Tl2O2
1.0
5.7018 -6.7664 0.0000
5.7018 6.7664 0.0000
-1.5989 0.0000 7.0106
Ba Tl O
7 2 2
direct
0.0000 0.0000 0.0000
0.1009 0.4103 0.7431
0.3733 0.3733 0.2355
0.4103 0.1009 0.7431
0.5897 0.8991 0.2569
0.6267 0.6267 0.7645
0.8991 0.5897 0.2569
0.2855 0.7145 0.5000
0.7145 0.2855 0.5000
0.2168 0.2168 0.9237
0.7832 0.7832 0.0763
```